Simulated powder diffraction line list
Compound: Ti3Rh4Au
Radiation: a wavelength of 1.5418 Å
Structure: a structure optimized by DFT (PBE)
Intensities are scaled so that the largest is 1000.

Main lines, low angle first (10 to 90 degrees two-theta):
(hkl)  2θ (°)  d [Å]  I_rel
1 0 0  20.9  4.241  103
1 0 1  24.8  3.595  141
1 1 1  32.7  2.742  148
1 1 2  40.1  2.246  1000
2 0 0  42.6  2.120  442
2 2 0  61.9  1.499  142
2 0 4  71.2  1.324  150
3 1 2  76.4  1.247  289

Atomic structure:
```
8
Lattice="4.241 0.000 0.000 0.000 4.241 0.000 0.000 0.000 6.780" Properties=species:S:1:pos:R:3 pbc="T T T"
Ti 0.000 0.000 0.000
Ti 0.000 0.000 3.390
Ti 2.120 2.120 0.000
Rh 0.000 2.120 1.530
Rh 0.000 2.120 5.250
Rh 2.120 0.000 1.530
Rh 2.120 0.000 5.250
Au 2.120 2.120 3.390
```